Starting from a structure optimized by DFT (PBE+U), the powder X-ray diffraction pattern of TiMnH12O6F6 was simulated for CuKα.
Kinematic intensities with the Lorentz-polarization factor, no thermal factor.

Atomic structure:
Lattice parameters (Å, degrees): 6.6293 6.6351 6.6451 96.48 96.69 96.33
Sites, in units of the cell vectors:
Ti 0.0000 0.0000 0.0000
Mn 0.5000 0.5000 0.5000
H 0.0968 0.4545 0.2900
H 0.1801 0.6914 0.3112
H 0.2903 0.0945 0.4555
H 0.3081 0.6887 0.8200
H 0.3113 0.1784 0.6919
H 0.4547 0.2888 0.0960
H 0.5453 0.7112 0.9040
H 0.6887 0.8216 0.3081
H 0.6919 0.3113 0.1800
H 0.7097 0.9055 0.5445
H 0.8199 0.3086 0.6888
H 0.9032 0.5455 0.7100
O 0.1996 0.5625 0.3666
O 0.3651 0.1989 0.5629
O 0.4378 0.6350 0.8002
O 0.5622 0.3650 0.1998
O 0.6349 0.8011 0.4371
O 0.8004 0.4375 0.6334
F 0.0629 0.7574 0.8537
F 0.1466 0.9349 0.2418
F 0.2424 0.1449 0.9362
F 0.7576 0.8551 0.0638
F 0.8534 0.0651 0.7582
F 0.9371 0.2426 0.1463

The 6 most intense peaks (2θ = 5–70°), by angle:
2theta	d (Å)	I (rel.)	h k l
17.91	4.951	100	0 1 -1
20.39	4.355	60	0 1 1
28.91	3.088	22	0 2 -1
32.80	2.731	31	-1 1 2
45.45	1.995	20	0 3 1
45.54	1.992	14	3 1 0